For BaCaCr4O8, a crystal structure in Alexandria, relaxed with PBE+U gives the theoretical powder XRD pattern in this record (a wavelength of 1.5418 Å).
Peak positions follow from Bragg's law for the DFT cell and can differ from measured ones.

Peak list (6 most intense, 2θ = 15–90°, by intensity)
index, 2θ (°), I_rel
1 0 2, 29.50, 100.0
1 1 0, 32.55, 77.5
2 -1 4, 57.74, 32.3
2 0 2, 44.50, 32.1
2 1 2, 56.20, 30.7
2 -1 1, 34.55, 28.0

Structural model:
Lattice parameters (Å, degrees): 5.5021 5.5021 7.8424 90.00 90.00 120.00
Fractional coordinates of all 14 atoms:
Ba: 0.0000 0.0000 0.0000
Ca: 0.0000 0.0000 0.5000
Cr: 0.3333 0.6667 0.2409
Cr: 0.3333 0.6667 0.7591
Cr: 0.6667 0.3333 0.2409
Cr: 0.6667 0.3333 0.7591
O: 0.0000 0.3281 0.3031
O: 0.0000 0.6719 0.6969
O: 0.3281 0.0000 0.3031
O: 0.3281 0.3281 0.6969
O: 0.3333 0.6667 0.0000
O: 0.6667 0.3333 0.0000
O: 0.6719 0.0000 0.6969
O: 0.6719 0.6719 0.3031